[1]
# NaCd9Ag3
Calculated powder diffractogram, Cu Kα (weighted mean of Kα1 and Kα2). Input: a cell relaxed with GGA-PBE.
Lines closer than 0.1° are merged.

Largest 10 diffraction maxima, by angle, 2θ from 10° to 90°:
- (0 2 1), 2θ = 17.58°, I 46
- (0 4 2), 2θ = 35.59°, I 100
- (1 5 0), 2θ = 35.93°, I 70
- (2 2 0), 2θ = 36.29°, I 46
- (2 2 -2), 2θ = 36.73°, I 54
- (0 2 3), 2θ = 39.78°, I 72
- (0 6 1), 2θ = 40.13°, I 71
- (2 0 1), 2θ = 40.31°, I 71
- (2 4 -1), 2θ = 40.89°, I 79
- (2 0 -3), 2θ = 41.11°, I 37

Cell and atoms:
Cell lengths 5.6388, 14.1923, 7.6600 Å; angles 90.00, 110.47, 90.00 degrees
Space group C2/m (No. 12)
Symmetry-distinct sites (fractional):
1 Na 0.0000 0.0000 0.0000
2 Cd 0.0000 0.5000 0.5000
3 Cd 0.1084 0.3925 0.2107
4 Cd 0.1618 0.1765 0.3435
5 Ag 0.0000 0.0000 0.5000
6 Ag 0.2500 0.2500 0.0000


[2]
# Pm3TeS6
Calculated powder diffractogram, Cu Kα (weighted mean of Kα1 and Kα2). Input: a cell relaxed with GGA-PBE.
Lines closer than 0.1° are merged.

Largest 10 diffraction maxima, by angle, 2θ from 10° to 90°:
- (2 2 1), 2θ = 24.65°, I 100
- (1 3 1), 2θ = 24.86°, I 25
- (0 0 2), 2θ = 26.05°, I 18
- (3 3 1), 2θ = 34.24°, I 20
- (3 1 2), 2θ = 36.75°, I 18
- (0 4 2), 2θ = 37.18°, I 25
- (3 5 0), 2θ = 41.37°, I 24
- (2 2 3), 2θ = 45.12°, I 16
- (3 1 3), 2θ = 47.61°, I 12
- (5 3 1), 2θ = 48.29°, I 12

Cell and atoms:
Cell lengths 10.8560, 13.6830, 6.8391 Å; angles 90.00, 90.00, 90.00 degrees
Space group Cmc2_1 (No. 36)
Symmetry-distinct sites (fractional):
1 Pm 0.0000 0.0925 0.0000
2 Pm 0.1890 0.3974 0.8932
3 Te 0.0000 0.3372 0.4172
4 S 0.0000 0.2671 0.7537
5 S 0.0000 0.4904 0.1460
6 S 0.1593 0.2349 0.1863
7 S 0.1643 0.0319 0.6982


[3]
# Li6CuNi2
Calculated powder diffractogram, Cu Kα (weighted mean of Kα1 and Kα2). Input: a cell relaxed with GGA-PBE.
Lines closer than 0.1° are merged.

Largest 10 diffraction maxima, by angle, 2θ from 10° to 90°:
- (1 1 0), 2θ = 14.61°, I 100
- (2 0 0), 2θ = 26.26°, I 22
- (1 3 -1), 2θ = 39.76°, I 14
- (0 6 0), 2θ = 40.11°, I 10
- (3 1 0), 2θ = 40.43°, I 11
- (2 2 -1), 2θ = 41.75°, I 7
- (0 4 1), 2θ = 43.38°, I 9
- (1 3 1), 2θ = 43.56°, I 17
- (2 4 -1), 2θ = 48.11°, I 9
- (1 7 0), 2θ = 49.15°, I 8

Cell and atoms:
Cell lengths 6.8839, 13.4890, 2.6923 Å; angles 90.00, 99.62, 90.00 degrees
Space group C2/m (No. 12)
Symmetry-distinct sites (fractional):
1 Li 0.1761 0.1755 0.3241
2 Li 0.1917 0.0000 0.8512
3 Cu 0.0000 0.5000 0.5000
4 Ni 0.0000 0.3472 0.0000


[4]
# Er3Th4Se8
Calculated powder diffractogram, Cu Kα (weighted mean of Kα1 and Kα2). Input: a cell relaxed with GGA-PBE.
Lines closer than 0.1° are merged.

Largest 10 diffraction maxima, by angle, 2θ from 10° to 90°:
- (0 0 6), 2θ = 21.97°, I 25
- (1 1 0), 2θ = 22.84°, I 72
- (1 1 3), 2θ = 25.39°, I 66
- (0 2 1), 2θ = 26.69°, I 49
- (0 2 4), 2θ = 30.32°, I 100
- (1 1 6), 2θ = 31.90°, I 56
- (0 2 7), 2θ = 37.19°, I 53
- (2 0 8), 2θ = 39.97°, I 88
- (2 2 0), 2θ = 46.65°, I 86
- (2 2 12), 2θ = 66.68°, I 36

Cell and atoms:
Cell lengths 7.7877, 7.7877, 24.2722 Å; angles 90.00, 90.00, 120.00 degrees
Space group R-3m (No. 166, hexagonal axes)
Symmetry-distinct sites (fractional):
1 Er 0.0000 0.5000 0.0000
2 Th 0.0000 0.0000 0.0000
3 Th 0.0000 0.0000 0.1513
4 Th 0.0000 0.0000 0.5000
5 Se 0.0000 0.0000 0.2677
6 Se 0.0105 0.5052 0.2562


[5]
# Eu6Mg7H26
Calculated powder diffractogram, Cu Kα (weighted mean of Kα1 and Kα2). Input: a cell relaxed with GGA-PBE.
Lines closer than 0.1° are merged.

Largest 10 diffraction maxima, by angle, 2θ from 10° to 90°:
- (1 1 -1), 2θ = 17.89°, I 23
- (1 1 -2), 2θ = 23.27°, I 31
- (3 1 -2), 2θ = 23.55°, I 41
- (1 1 2), 2θ = 29.36°, I 100
- (5 1 -2), 2θ = 30.02°, I 89
- (4 0 -4), 2θ = 31.62°, I 65
- (0 2 0), 2θ = 32.47°, I 38
- (4 2 0), 2θ = 41.77°, I 25
- (4 2 -4), 2θ = 45.97°, I 33
- (3 1 -6), 2θ = 54.53°, I 20

Cell and atoms:
Cell lengths 17.6770, 5.5155, 11.3228 Å; angles 90.00, 127.98, 90.00 degrees
Space group C2/m (No. 12)
Symmetry-distinct sites (fractional):
1 Eu 0.1441 0.0000 0.4074
2 Eu 0.1506 0.5000 0.1551
3 Eu 0.1609 0.0000 0.9079
4 Mg 0.0000 0.0000 0.0000
5 Mg 0.0000 0.2427 0.5000
6 Mg 0.0185 0.5000 0.7836
7 Mg 0.2211 0.5000 0.7078
8 H 0.0150 0.2174 0.6842
9 H 0.0379 0.2543 0.9291
10 H 0.0876 0.5000 0.5717
11 H 0.0972 0.0000 0.5757
12 H 0.1158 0.5000 0.3276
13 H 0.1292 0.0000 0.1783
14 H 0.1575 0.5000 0.9304
15 H 0.2473 0.2530 0.6172
16 H 0.2485 0.2617 0.8546


[6]
# CsMgTl4
Calculated powder diffractogram, Cu Kα (weighted mean of Kα1 and Kα2). Input: a cell relaxed with GGA-PBE.
Lines closer than 0.1° are merged.

Largest 10 diffraction maxima, by angle, 2θ from 10° to 90°:
- (0 0 2), 2θ = 14.30°, I 25
- (1 0 2), 2θ = 26.48°, I 66
- (1 0 3), 2θ = 31.10°, I 100
- (1 1 0), 2θ = 31.55°, I 100
- (1 0 4), 2θ = 36.67°, I 55
- (2 0 0), 2θ = 45.23°, I 37
- (1 1 5), 2θ = 48.83°, I 22
- (2 1 2), 2θ = 53.18°, I 20
- (2 1 3), 2θ = 55.90°, I 39
- (2 1 4), 2θ = 59.58°, I 28

Cell and atoms:
Cell lengths 4.0098, 4.0098, 12.3833 Å; angles 90.00, 90.00, 90.00 degrees
Space group P4/mmm (No. 123)
Symmetry-distinct sites (fractional):
1 Cs 0.0000 0.0000 0.0000
2 Mg 0.5000 0.5000 0.5000
3 Tl 0.0000 0.0000 0.3662
4 Tl 0.5000 0.5000 0.2251